No. 1
LaNiOs: theoretical powder diffraction line list (Cu Ka), based on DFT lattice parameters and positions (PBE).
Kinematic intensities with the Lorentz-polarization factor, no thermal factor.

Main lines, by angle (15° ≤ 2θ ≤ 90°):
d_spacing	two_theta	I (rel.)	index
2.999	29.79	419	0 1 3
2.822	31.71	1000	1 1 2
2.446	36.74	182	0 2 0
2.248	40.12	187	0 2 2
2.173	41.57	293	2 0 0
2.141	42.21	209	1 1 4
2.017	44.94	398	1 0 5
1.759	51.97	179	2 1 3

```
data_LaNiOs
_chemical_formula_sum 'La4 Ni4 Os4'
_cell_length_a 4.3453
_cell_length_b 4.8928
_cell_length_c 11.3866
_cell_angle_alpha 90.00
_cell_angle_beta 90.00
_cell_angle_gamma 90.00
_space_group_name_H-M_alt 'I m m a'
_space_group_IT_number 74
_space_group_name_Hall '-I 2b 2'
loop_
_atom_site_label
_atom_site_fract_x
_atom_site_fract_y
_atom_site_fract_z
_atom_site_occupancy
La1 0.0000 0.2500 0.1216 1
Ni1 0.0000 0.0000 0.5000 1
Os1 0.0000 0.2500 0.6990 1
```

=====

No. 2
Hg3ICl5: theoretical powder diffraction line list (Cu Ka), based on DFT lattice parameters and positions (PBE).
Kinematic intensities with the Lorentz-polarization factor, no thermal factor.

Main lines, by angle (15° ≤ 2θ ≤ 90°):
d_spacing	two_theta	I (rel.)	index
5.016	17.68	494	1 0 -1
4.815	18.42	1000	1 1 2
4.125	21.54	182	0 2 2
3.485	25.56	749	-1 2 1
3.281	27.18	137	2 2 1
2.528	35.51	198	1 -1 3
2.015	44.98	196	1 5 2
1.743	52.51	202	-2 4 2

```
data_Hg3ICl5
_chemical_formula_sum 'Hg6 I2 Cl10'
_cell_length_a 7.2742
_cell_length_b 10.1026
_cell_length_c 10.5299
_cell_angle_alpha 63.08
_cell_angle_beta 72.44
_cell_angle_gamma 73.48
_space_group_name_H-M_alt 'P -1'
_space_group_IT_number 2
loop_
_space_group_symop_operation_xyz
'x,y,z'
'-x,-y,-z'
loop_
_atom_site_label
_atom_site_fract_x
_atom_site_fract_y
_atom_site_fract_z
_atom_site_occupancy
Hg1 0.0000 0.0000 0.0000 1
Hg2 0.1083 0.7568 0.5995 1
Hg3 0.3451 0.3003 0.6826 1
Hg4 0.5000 0.5000 0.0000 1
I1 0.3711 0.7776 0.8303 1
Cl1 0.0192 0.4556 0.2255 1
Cl2 0.1296 0.1880 0.6530 1
Cl3 0.2322 0.1133 0.0091 1
Cl4 0.2630 0.9506 0.4122 1
Cl5 0.4269 0.5786 0.3157 1
```